Simulated powder diffraction line list
Compound: MnPF6
Radiation: λ = 1.5418 Å (Cu Kα)
Structure: a crystal structure in Alexandria, relaxed with GGA+U

Cell and atoms:
Cell lengths 6.669, 6.669, 7.624 Å; angles 123.56, 123.56, 74.64 degrees
Atoms (fractional coordinates):
Mn 0.244 0.244 0.491
Mn 0.756 0.756 0.509
P 0.255 0.260 0.001
P 0.740 0.745 0.999
F 0.036 0.534 0.567
F 0.143 0.506 0.014
F 0.161 0.284 0.182
F 0.351 0.222 0.818
F 0.466 0.964 0.433
F 0.494 0.857 0.986
F 0.524 0.408 0.256
F 0.592 0.476 0.744
F 0.716 0.839 0.818
F 0.778 0.649 0.182
F 0.902 0.011 0.255
F 0.989 0.098 0.745

Main lines, by intensity (10° ≤ 2θ ≤ 90°):
- 23.34°, I = 100
- 21.98°, I = 54
- 32.28°, I = 22
- 47.72°, I = 18
- 51.14°, I = 15
- 53.13°, I = 14
- 37.67°, I = 9
- 35.32°, I = 8
- 44.84°, I = 7
- 53.01°, I = 7